1.
K3SiF7: theoretical XRD peak list (copper Kα), based on DFT lattice parameters and positions (GGA-PBE).

Structure:
a b c (Å): 7.819 7.819 5.619
angles (deg): 90.00 90.00 90.00
Sites, in units of the cell vectors:
K 0.000 0.000 0.000
K 0.195 0.305 0.500
K 0.305 0.805 0.500
K 0.500 0.500 0.000
K 0.695 0.195 0.500
K 0.805 0.695 0.500
Si 0.000 0.500 0.000
Si 0.500 0.000 0.000
F 0.000 0.000 0.500
F 0.109 0.609 0.218
F 0.109 0.609 0.782
F 0.155 0.345 0.000
F 0.345 0.845 0.000
F 0.391 0.109 0.218
F 0.391 0.109 0.782
F 0.500 0.500 0.500
F 0.609 0.891 0.218
F 0.609 0.891 0.782
F 0.655 0.155 0.000
F 0.845 0.655 0.000
F 0.891 0.391 0.218
F 0.891 0.391 0.782

Most intense lines, 10 to 80 degrees two-theta, in order of rising 2θ:
2θ = 16.0°, I 30.6; 2θ = 27.8°, I 100.0; 2θ = 31.9°, I 31.7; 2θ = 32.4°, I 69.0; 2θ = 35.9°, I 13.8; 2θ = 36.3°, I 50.9; 2θ = 41.2°, I 93.9; 2θ = 41.6°, I 22.3; 2θ = 46.1°, I 41.9; 2θ = 48.0°, I 25.2; 2θ = 57.4°, I 20.0; 2θ = 62.6°, I 15.1

2.
HfNb5Mo4: theoretical XRD peak list (copper Kα), based on DFT lattice parameters and positions (GGA-PBE).

Structure:
a b c (Å): 3.248 3.248 16.586
angles (deg): 90.00 90.00 90.00
Sites, in units of the cell vectors:
Hf 0.000 0.000 0.000
Nb 0.500 0.500 0.115
Nb 0.500 0.500 0.306
Nb 0.500 0.500 0.500
Nb 0.500 0.500 0.694
Nb 0.500 0.500 0.885
Mo 0.000 0.000 0.207
Mo 0.000 0.000 0.403
Mo 0.000 0.000 0.597
Mo 0.000 0.000 0.793

Most intense lines, 10 to 80 degrees two-theta, in order of rising 2θ:
2θ = 28.0°, I 1.6; 2θ = 29.5°, I 2.0; 2θ = 32.0°, I 2.3; 2θ = 35.1°, I 4.1; 2θ = 38.8°, I 100.0; 2θ = 39.2°, I 51.3; 2θ = 55.4°, I 7.3; 2θ = 56.7°, I 17.1; 2θ = 64.9°, I 1.5; 2θ = 68.4°, I 1.2; 2θ = 70.0°, I 14.3; 2θ = 70.8°, I 32.8

3.
Sb2IF: theoretical XRD peak list (copper Kα), based on DFT lattice parameters and positions (GGA-PBE).

Structure:
a b c (Å): 10.444 10.444 10.444
angles (deg): 153.92 153.92 37.22
Sites, in units of the cell vectors:
Sb 0.068 0.625 0.943
Sb 0.375 0.318 0.443
Sb 0.682 0.125 0.057
Sb 0.875 0.932 0.557
I 0.250 0.750 0.500
I 0.500 0.500 0.000
F 0.000 0.000 0.000
F 0.750 0.250 0.500

Most intense lines, 10 to 80 degrees two-theta, in order of rising 2θ:
2θ = 23.2°, I 30.9; 2θ = 28.3°, I 100.0; 2θ = 29.5°, I 16.9; 2θ = 36.3°, I 26.4; 2θ = 38.4°, I 43.6; 2θ = 42.5°, I 57.2; 2θ = 43.2°, I 17.5; 2θ = 53.9°, I 15.9; 2θ = 55.1°, I 10.9; 2θ = 63.1°, I 13.4; 2θ = 67.8°, I 11.5; 2θ = 69.6°, I 12.7

4.
Na23Sr6Ca: theoretical XRD peak list (copper Kα), based on DFT lattice parameters and positions (GGA-PBE).

Structure:
a b c (Å): 12.018 12.018 12.018
angles (deg): 60.00 60.00 60.00
Sites, in units of the cell vectors:
Na 0.000 0.000 0.000
Na 0.000 0.000 0.500
Na 0.000 0.500 0.000
Na 0.000 0.500 0.500
Na 0.010 0.663 0.663
Na 0.121 0.121 0.121
Na 0.121 0.121 0.638
Na 0.121 0.638 0.121
Na 0.337 0.337 0.337
Na 0.337 0.337 0.990
Na 0.337 0.990 0.337
Na 0.362 0.879 0.879
Na 0.500 0.000 0.000
Na 0.500 0.000 0.500
Na 0.500 0.500 0.000
Na 0.638 0.121 0.121
Na 0.663 0.010 0.663
Na 0.663 0.663 0.010
Na 0.663 0.663 0.663
Na 0.879 0.362 0.879
Na 0.879 0.879 0.362
Na 0.879 0.879 0.879
Na 0.990 0.337 0.337
Sr 0.280 0.280 0.720
Sr 0.280 0.720 0.280
Sr 0.280 0.720 0.720
Sr 0.720 0.280 0.280
Sr 0.720 0.280 0.720
Sr 0.720 0.720 0.280
Ca 0.500 0.500 0.500

Most intense lines, 10 to 80 degrees two-theta, in order of rising 2θ:
2θ = 10.4°, I 11.3; 2θ = 18.1°, I 23.5; 2θ = 20.9°, I 22.0; 2θ = 23.4°, I 18.0; 2θ = 25.7°, I 14.9; 2θ = 27.3°, I 49.8; 2θ = 29.7°, I 100.0; 2θ = 31.6°, I 12.6; 2θ = 40.8°, I 17.0; 2θ = 42.6°, I 10.9; 2θ = 52.8°, I 19.3; 2θ = 56.0°, I 22.2

5.
Pr7AlCd3: theoretical XRD peak list (copper Kα), based on DFT lattice parameters and positions (GGA-PBE).

Structure:
a b c (Å): 8.261 8.261 8.261
angles (deg): 138.28 104.29 90.39
Sites, in units of the cell vectors:
Pr 0.000 0.000 0.000
Pr 0.097 0.766 0.331
Pr 0.312 0.500 0.812
Pr 0.435 0.766 0.669
Pr 0.565 0.234 0.331
Pr 0.688 0.500 0.188
Pr 0.903 0.234 0.669
Al 0.000 0.500 0.500
Cd 0.273 0.273 0.000
Cd 0.500 0.000 0.500
Cd 0.727 0.727 0.000

Most intense lines, 10 to 80 degrees two-theta, in order of rising 2θ:
2θ = 24.4°, I 30.3; 2θ = 30.4°, I 59.5; 2θ = 30.5°, I 18.1; 2θ = 30.7°, I 51.2; 2θ = 32.8°, I 39.4; 2θ = 34.3°, I 100.0; 2θ = 43.8°, I 48.2; 2θ = 56.5°, I 23.3; 2θ = 56.9°, I 16.5; 2θ = 60.7°, I 11.6; 2θ = 63.5°, I 15.5; 2θ = 72.2°, I 14.8

6.
BaLa2Zn: theoretical XRD peak list (copper Kα), based on DFT lattice parameters and positions (GGA-PBE).

Structure:
a b c (Å): 3.907 3.907 9.787
angles (deg): 90.00 90.00 90.00
Sites, in units of the cell vectors:
Ba 0.000 0.000 0.000
La 0.500 0.500 0.333
La 0.500 0.500 0.667
Zn 0.000 0.000 0.500

Most intense lines, 10 to 80 degrees two-theta, in order of rising 2θ:
2θ = 24.5°, I 52.1; 2θ = 27.3°, I 28.5; 2θ = 29.3°, I 100.0; 2θ = 32.4°, I 75.0; 2θ = 35.9°, I 22.9; 2θ = 42.9°, I 33.7; 2θ = 43.6°, I 33.2; 2θ = 46.5°, I 27.2; 2θ = 54.8°, I 16.5; 2θ = 55.9°, I 31.7; 2θ = 65.7°, I 19.4; 2θ = 66.6°, I 18.3

7.
PuGaSnSb: theoretical XRD peak list (copper Kα), based on DFT lattice parameters and positions (GGA-PBE).

Structure:
a b c (Å): 4.458 4.581 4.670
angles (deg): 90.00 90.00 90.00
Sites, in units of the cell vectors:
Pu 0.000 0.000 0.000
Ga 0.500 0.000 0.500
Sn 0.000 0.500 0.500
Sb 0.500 0.500 0.000

Most intense lines, 10 to 80 degrees two-theta, in order of rising 2θ:
2θ = 19.0°, I 8.7; 2θ = 34.0°, I 100.0; 2θ = 38.6°, I 17.8; 2θ = 39.3°, I 16.9; 2θ = 40.5°, I 15.6; 2θ = 56.3°, I 12.0; 2θ = 57.1°, I 11.5; 2θ = 57.7°, I 11.1; 2θ = 66.9°, I 14.4; 2θ = 67.9°, I 13.7; 2θ = 69.5°, I 12.9; 2θ = 71.6°, I 11.8

8.
Sr5PmBi5: theoretical XRD peak list (copper Kα), based on DFT lattice parameters and positions (GGA-PBE).

Structure:
a b c (Å): 8.551 8.551 9.368
angles (deg): 106.34 106.34 46.06
Sites, in units of the cell vectors:
Sr 0.000 0.000 0.000
Sr 0.316 0.316 0.176
Sr 0.323 0.323 0.647
Sr 0.677 0.677 0.353
Sr 0.684 0.684 0.824
Pm 0.000 0.000 0.500
Bi 0.150 0.150 0.331
Bi 0.159 0.159 0.825
Bi 0.500 0.500 0.500
Bi 0.841 0.841 0.175
Bi 0.850 0.850 0.669

Most intense lines, 10 to 80 degrees two-theta, in order of rising 2θ:
2θ = 14.5°, I 36.3; 2θ = 22.2°, I 20.5; 2θ = 23.2°, I 20.2; 2θ = 26.0°, I 98.4; 2θ = 26.2°, I 100.0; 2θ = 26.6°, I 98.7; 2θ = 36.0°, I 39.6; 2θ = 37.6°, I 75.4; 2θ = 37.7°, I 77.0; 2θ = 38.4°, I 36.4; 2θ = 45.3°, I 39.8; 2θ = 47.4°, I 40.4

9.
Be3Te4: theoretical XRD peak list (copper Kα), based on DFT lattice parameters and positions (GGA-PBE).

Structure:
a b c (Å): 5.574 5.574 5.574
angles (deg): 90.00 90.00 90.00
Sites, in units of the cell vectors:
Be 0.000 0.000 0.500
Be 0.000 0.500 0.000
Be 0.500 0.000 0.000
Te 0.254 0.254 0.254
Te 0.254 0.746 0.746
Te 0.746 0.254 0.746
Te 0.746 0.746 0.254

Most intense lines, 10 to 80 degrees two-theta, in order of rising 2θ:
2θ = 27.7°, I 100.0; 2θ = 32.1°, I 47.0; 2θ = 46.1°, I 39.6; 2θ = 54.6°, I 44.4; 2θ = 57.3°, I 11.9; 2θ = 67.2°, I 6.3; 2θ = 74.2°, I 17.6; 2θ = 76.4°, I 15.0

10.
LaRuSe2: theoretical XRD peak list (copper Kα), based on DFT lattice parameters and positions (GGA-PBE).

Structure:
a b c (Å): 4.022 4.524 5.717
angles (deg): 90.00 109.44 90.00
Sites, in units of the cell vectors:
La 0.000 0.000 0.000
Ru 0.643 0.500 0.313
Se 0.431 0.500 0.855
Se 0.707 0.000 0.434

Most intense lines, 10 to 80 degrees two-theta, in order of rising 2θ:
2θ = 16.4°, I 33.8; 2θ = 30.8°, I 100.0; 2θ = 31.0°, I 92.9; 2θ = 33.1°, I 53.9; 2θ = 33.2°, I 33.7; 2θ = 33.8°, I 53.9; 2θ = 38.9°, I 72.3; 2θ = 39.8°, I 60.8; 2θ = 45.1°, I 42.2; 2θ = 52.8°, I 46.0; 2θ = 53.2°, I 29.1; 2θ = 61.7°, I 32.7

11.
DyAl3Rh: theoretical XRD peak list (copper Kα), based on DFT lattice parameters and positions (GGA-PBE).

Structure:
a b c (Å): 8.185 5.454 8.312
angles (deg): 90.00 99.79 90.00
Sites, in units of the cell vectors:
Dy 0.130 0.116 0.213
Dy 0.130 0.384 0.713
Dy 0.870 0.616 0.287
Dy 0.870 0.884 0.787
Al 0.136 0.625 0.054
Al 0.136 0.875 0.554
Al 0.287 0.603 0.359
Al 0.287 0.897 0.859
Al 0.400 0.161 0.558
Al 0.400 0.339 0.058
Al 0.600 0.661 0.942
Al 0.600 0.839 0.442
Al 0.713 0.103 0.141
Al 0.713 0.397 0.641
Al 0.864 0.125 0.446
Al 0.864 0.375 0.946
Rh 0.453 0.650 0.652
Rh 0.453 0.850 0.152
Rh 0.547 0.150 0.848
Rh 0.547 0.350 0.348

Most intense lines, 10 to 80 degrees two-theta, in order of rising 2θ:
2θ = 21.7°, I 48.8; 2θ = 23.4°, I 36.6; 2θ = 26.0°, I 33.4; 2θ = 27.5°, I 40.3; 2θ = 28.0°, I 56.3; 2θ = 28.2°, I 30.0; 2θ = 35.9°, I 51.0; 2θ = 36.8°, I 100.0; 2θ = 37.1°, I 46.7; 2θ = 37.7°, I 58.7; 2θ = 40.4°, I 53.9; 2θ = 46.9°, I 30.2

12.
Pm4YTh2: theoretical XRD peak list (copper Kα), based on DFT lattice parameters and positions (GGA-PBE).

Structure:
a b c (Å): 5.845 5.730 7.401
angles (deg): 90.00 100.05 90.00
Sites, in units of the cell vectors:
Pm 0.005 0.000 0.272
Pm 0.335 0.500 0.670
Pm 0.665 0.500 0.330
Pm 0.995 0.000 0.728
Y 0.500 0.000 0.000
Th 0.000 0.500 0.000
Th 0.500 0.000 0.500

Most intense lines, 10 to 80 degrees two-theta, in order of rising 2θ:
2θ = 19.7°, I 14.9; 2θ = 21.3°, I 35.7; 2θ = 26.4°, I 22.9; 2θ = 30.9°, I 100.0; 2θ = 31.1°, I 18.7; 2θ = 31.2°, I 59.3; 2θ = 34.9°, I 16.3; 2θ = 35.1°, I 52.7; 2θ = 38.1°, I 16.5; 2θ = 44.6°, I 14.0; 2θ = 55.4°, I 19.5; 2θ = 58.1°, I 15.6

Copy entry 9 word for word.
Be3Te4: theoretical XRD peak list (copper Kα), based on DFT lattice parameters and positions (GGA-PBE).

Structure:
a b c (Å): 5.574 5.574 5.574
angles (deg): 90.00 90.00 90.00
Sites, in units of the cell vectors:
Be 0.000 0.000 0.500
Be 0.000 0.500 0.000
Be 0.500 0.000 0.000
Te 0.254 0.254 0.254
Te 0.254 0.746 0.746
Te 0.746 0.254 0.746
Te 0.746 0.746 0.254

Most intense lines, 10 to 80 degrees two-theta, in order of rising 2θ:
2θ = 27.7°, I 100.0; 2θ = 32.1°, I 47.0; 2θ = 46.1°, I 39.6; 2θ = 54.6°, I 44.4; 2θ = 57.3°, I 11.9; 2θ = 67.2°, I 6.3; 2θ = 74.2°, I 17.6; 2θ = 76.4°, I 15.0